# CuH3Pd6
Simulated powder diffractogram, Cu Ka. Input: DFT lattice parameters and positions (PBE).

Main lines, in order of rising 2θ (10° ≤ 2θ ≤ 90°):
- hkl 1 1 1, 2θ 38.52, I = 50
- hkl 2 0 -1, 2θ 38.73, I = 100
- hkl 0 1 -2, 2θ 38.85, I = 50
- hkl -1 1 2, 2θ 44.44, I = 34
- hkl 1 2 -1, 2θ 44.99, I = 33
- hkl 2 -1 1, 2θ 45.56, I = 32
- hkl 0 3 1, 2θ 64.82, I = 10
- hkl 2 1 -3, 2θ 65.35, I = 11
- hkl -3 2 1, 2θ 65.59, I = 10
- hkl -3 1 3, 2θ 78.16, I = 12
- hkl 3 2 -2, 2θ 78.78, I = 12
- hkl 3 -3 1, 2θ 79.72, I = 11

Atomic structure:
```
CuH3Pd6
1.0
4.9064 0.0000 0.0000
-0.7970 4.8735 0.0000
-0.8874 -0.8901 4.7893
Cu H Pd
1 3 6
Cartesian
0.0000 0.0000 0.0000
-0.6532 3.3066 2.9641
1.6753 2.7780 0.8855
3.8975 0.8187 1.8768
-0.0567 2.5115 1.3330
0.7681 0.1926 2.7350
0.7775 2.7407 4.0834
2.4582 1.1790 0.6414
2.4647 3.8343 2.1130
3.2019 1.4650 3.4589
```